Entry 1:
Diffraction record for DyCuPb. The X-ray diffraction stick pattern is computed, not measured: it uses the PBE geometry in the Materials Project and copper Kα.

Largest 10 diffraction maxima, low angle first, 2θ from 10° to 90°:
two_theta, d [Å], I/Imax, index
25.3, 3.522, 43, 1 0 1
33.0, 2.717, 100, 1 0 2
38.9, 2.313, 77, 1 1 0
43.1, 2.099, 25, 1 0 3
51.9, 1.761, 28, 2 0 2
59.5, 1.554, 10, 2 0 3
64.5, 1.444, 20, 1 1 4
66.8, 1.401, 26, 2 1 2
70.5, 1.335, 13, 3 0 0
73.4, 1.290, 10, 2 1 3

Crystal structure
Cell lengths 4.6260, 4.6260, 7.3923 Å; angles 90.00, 90.00, 120.00 degrees
Space group P6_3mc (No. 186)
Symmetry-distinct sites (fractional):
Dy1 0.0000 0.0000 0.0000 [2 per cell]
Cu1 0.3333 0.6667 0.3264 [2 per cell]
Pb1 0.3333 0.6667 0.7315 [2 per cell]

Entry 2:
Diffraction record for NaCaBeSi2O6F. The X-ray diffraction stick pattern is computed, not measured: it uses the PBE geometry in the Materials Project and copper Kα.

Largest 10 diffraction maxima, low angle first, 2θ from 10° to 90°:
two_theta, d [Å], I/Imax, index
14.8, 6.000, 13, 1 0 1
24.4, 3.648, 32, 1 1 2
29.8, 3.001, 35, 2 0 2
32.1, 2.784, 100, 1 2 2
38.1, 2.361, 16, 3 1 0
38.5, 2.339, 25, 2 2 2
40.4, 2.232, 20, 0 3 2
45.0, 2.013, 22, 1 2 4
53.1, 1.725, 14, 1 3 4
53.2, 1.723, 16, 3 1 4

Crystal structure
Cell lengths 7.457, 7.474, 10.093 Å; angles 90.00, 90.00, 90.00 degrees
Space group P2_12_12_1 (No. 19)
Symmetry-distinct sites (fractional):
Na1 0.104 0.183 0.256 [4 per cell]
Ca1 0.077 0.145 0.739 [4 per cell]
Be1 0.119 0.859 0.967 [4 per cell]
Si1 0.100 0.858 0.477 [4 per cell]
Si2 0.237 0.491 0.501 [4 per cell]
O1 0.080 0.412 0.597 [4 per cell]
O2 0.090 0.855 0.636 [4 per cell]
O3 0.099 0.414 0.089 [4 per cell]
O4 0.148 0.657 0.411 [4 per cell]
O5 0.176 0.663 0.907 [4 per cell]
O6 0.246 0.992 0.411 [4 per cell]
F1 0.121 0.853 0.126 [4 per cell]